Structure and simulated PXRD pattern of FeP3O9 (a GGA+U-relaxed structure; Cu Kα).

Crystal structure
```
FeP3O9
1.0
9.4507 0.0000 0.0000
-3.0022 8.9674 0.0000
-3.2307 -3.6349 8.3451
Fe P O
4 12 36
Direct
0.1946 0.3929 0.2937
0.2759 0.7590 0.2274
0.7241 0.2410 0.7726
0.8054 0.6071 0.7063
0.0676 0.2038 0.9085
0.1088 0.5024 0.8510
0.1663 0.9319 0.8063
0.2997 0.5672 0.6697
0.3411 0.9918 0.5984
0.4069 0.3160 0.5788
0.5931 0.6840 0.4212
0.6589 0.0082 0.4016
0.7003 0.4328 0.3303
0.8337 0.0681 0.1937
0.8912 0.4976 0.1490
0.9324 0.7962 0.0915
0.0100 0.7727 0.7388
0.0750 0.5345 0.1905
0.0930 0.0683 0.8024
0.1173 0.8467 0.1472
0.1341 0.5164 0.7017
0.1363 0.3446 0.8505
0.1747 0.2628 0.0858
0.2002 0.9204 0.6478
0.2242 0.5376 0.4935
0.2364 0.6426 0.0063
0.3022 0.1330 0.5501
0.3063 0.8609 0.4491
0.3132 0.9818 0.9543
0.3387 0.4099 0.6795
0.3602 0.3280 0.4179
0.4059 0.6263 0.3184
0.4374 0.7214 0.7926
0.4847 0.9270 0.2653
0.5153 0.0730 0.7347
0.5626 0.2786 0.2074
0.5941 0.3737 0.6816
0.6398 0.6720 0.5821
0.6613 0.5901 0.3205
0.6868 0.0182 0.0457
0.6937 0.1391 0.5509
0.6978 0.8670 0.4499
0.7636 0.3574 0.9937
0.7758 0.4624 0.5065
0.7998 0.0796 0.3522
0.8253 0.7372 0.9142
0.8637 0.6554 0.1495
0.8659 0.4836 0.2983
0.8827 0.1533 0.8528
0.9070 0.9317 0.1976
0.9250 0.4655 0.8095
0.9900 0.2273 0.2612
```

Top 10 peaks for 15 to 90 degrees two-theta, low angle first:
2θ 15.23, intensity 45; 2θ 18.51, intensity 70; 2θ 20.38, intensity 44; 2θ 21.29, intensity 52; 2θ 22.23, intensity 51; 2θ 23.66, intensity 48; 2θ 25.05, intensity 56; 2θ 30.25, intensity 44; 2θ 31.22, intensity 100; 2θ 32.54, intensity 48


Structure and simulated PXRD pattern of FeP2O7 (a GGA+U-relaxed structure; Cu Kα).

Crystal structure
```
FeP2O7
1.0
3.3474 -4.0263 0.0000
3.3474 4.0263 0.0000
-1.0284 0.0000 4.4918
Fe P O
1 2 7
Direct
0.0000 0.0000 0.0000
0.1569 0.4478 0.5885
0.5522 0.8431 0.4115
0.0483 0.6763 0.7343
0.2192 0.2607 0.8031
0.3237 0.9517 0.2657
0.4364 0.5636 0.5000
0.6919 0.0259 0.7024
0.7393 0.7808 0.1969
0.9741 0.3081 0.2976
```

Top 10 peaks for 15 to 90 degrees two-theta, low angle first:
2θ 17.49, intensity 80; 2θ 22.08, intensity 69; 2θ 24.08, intensity 34; 2θ 28.75, intensity 100; 2θ 29.80, intensity 67; 2θ 30.04, intensity 76; 2θ 35.41, intensity 21; 2θ 43.10, intensity 33; 2θ 43.46, intensity 24; 2θ 49.32, intensity 20


Structure and simulated PXRD pattern of FePO4 (a GGA+U-relaxed structure; Cu Kα).

Crystal structure
```
FePO4
1.0
8.8032 0.0000 0.0000
0.0000 5.3506 0.0000
-2.6639 0.0000 8.3190
Fe P O
4 4 16
Direct
0.0000 0.1931 0.0000
0.0000 0.8069 0.5000
0.5002 0.3051 0.6439
0.5002 0.6949 0.1439
0.3717 0.1923 0.2685
0.3717 0.8077 0.7685
0.8725 0.3037 0.6239
0.8725 0.6963 0.1239
0.0009 0.2707 0.7895
0.0009 0.7293 0.2895
0.2067 0.2128 0.1423
0.2067 0.7872 0.6423
0.3564 0.2637 0.4348
0.3564 0.7363 0.9348
0.4363 0.0777 0.7778
0.4363 0.9223 0.2778
0.4896 0.3704 0.2229
0.4896 0.6296 0.7229
0.7075 0.2373 0.6399
0.7075 0.7627 0.1399
0.8694 0.4238 0.0649
0.8694 0.5762 0.5649
0.9125 0.1288 0.5006
0.9125 0.8712 0.0006
```

Top 10 peaks for 15 to 90 degrees two-theta, low angle first:
2θ 19.71, intensity 13; 2θ 20.80, intensity 100; 2θ 21.19, intensity 54; 2θ 21.36, intensity 20; 2θ 26.56, intensity 19; 2θ 26.67, intensity 39; 2θ 30.26, intensity 9; 2θ 33.50, intensity 18; 2θ 36.50, intensity 10; 2θ 44.21, intensity 9


Structure and simulated PXRD pattern of FePO4 (a GGA+U-relaxed structure; Cu Kα).

Crystal structure
```
FePO4
1.0
10.4986 0.0000 0.0000
0.0000 5.2579 0.0000
0.0000 0.0000 14.2693
Fe P O
8 8 32
Direct
0.0325 0.0711 0.0000
0.2168 0.4498 0.2476
0.2832 0.4498 0.7476
0.4675 0.0711 0.5000
0.5325 0.9289 0.0000
0.7168 0.5502 0.2476
0.7832 0.5502 0.7476
0.9675 0.9289 0.5000
0.0347 0.5688 0.8728
0.2191 0.9491 0.6251
0.2809 0.9491 0.1251
0.4653 0.5688 0.3728
0.5347 0.4312 0.8728
0.7191 0.0509 0.6251
0.7809 0.0509 0.1251
0.9653 0.4312 0.3728
0.0025 0.5947 0.4589
0.0105 0.8513 0.8968
0.0458 0.5021 0.2858
0.0758 0.9900 0.6035
0.1772 0.5227 0.8506
0.2036 0.0326 0.0380
0.2427 0.1068 0.2120
0.2450 0.6646 0.6454
0.2550 0.6646 0.1454
0.2573 0.1068 0.7120
0.2964 0.0326 0.5380
0.3228 0.5227 0.3506
0.4242 0.9900 0.1035
0.4542 0.5021 0.7858
0.4895 0.8513 0.3968
0.4975 0.5947 0.9589
0.5025 0.4053 0.4589
0.5105 0.1487 0.8968
0.5458 0.4979 0.2858
0.5758 0.0100 0.6035
0.6772 0.4773 0.8506
0.7036 0.9674 0.0380
0.7427 0.8932 0.2120
0.7450 0.3354 0.6454
0.7550 0.3354 0.1454
0.7573 0.8932 0.7120
0.7964 0.9674 0.5380
0.8228 0.4773 0.3506
0.9242 0.0100 0.1035
0.9542 0.4979 0.7858
0.9895 0.1487 0.3968
0.9975 0.4053 0.9589
```

Top 10 peaks for 15 to 90 degrees two-theta, low angle first:
2θ 21.00, intensity 100; 2θ 25.27, intensity 5; 2θ 26.66, intensity 5; 2θ 30.53, intensity 5; 2θ 31.48, intensity 4; 2θ 34.13, intensity 19; 2θ 34.87, intensity 7; 2θ 35.80, intensity 4; 2θ 40.42, intensity 6; 2θ 68.09, intensity 3